This entry pairs a crystal structure of NaInHg4 with its calculated powder XRD pattern. Radiation: Cu Kα X-rays. Structure: a cell relaxed with PBE.
Lines closer than 0.1° are merged.

Structure:
```
6
Lattice="5.819 -1.968 0.000 5.819 1.968 0.000 -2.310 0.000 6.774" Properties=species:S:1:pos:R:3 pbc="T T T"
Na 0.000 0.000 0.000
In -1.155 0.000 3.387
Hg 3.500 0.000 1.106
Hg 2.372 0.000 4.502
Hg 6.957 0.000 2.272
Hg 5.829 0.000 5.668
```

Peak list (12 most intense, 2θ from 10° to 80°, by angle)
2θ = 16.09°, I 19
2θ = 24.01°, I 17
2θ = 33.37°, I 100
2θ = 33.85°, I 96
2θ = 34.72°, I 45
2θ = 35.30°, I 43
2θ = 46.12°, I 21
2θ = 58.99°, I 20
2θ = 59.38°, I 20
2θ = 61.07°, I 18
2θ = 61.83°, I 17
2θ = 61.99°, I 17